The following is a calculated powder diffraction line list of FeGe7N10. It was derived from a PBE-relaxed structure, using Cu Kα (weighted mean of Kα1 and Kα2).

Main lines, low angle first (10 to 90 degrees two-theta):
13.28°, I 44.8, (1 0 0)
14.80°, I 64.7, (0 1 1)
18.52°, I 100.0, (1 1 -1)
27.34°, I 35.2, (1 1 2)
28.82°, I 42.5, (2 1 -1)
29.30°, I 47.4, (0 1 3)
31.04°, I 49.6, (2 1 -2)
35.70°, I 59.5, (2 2 -1)
36.09°, I 56.1, (0 3 0)
37.35°, I 55.1, (1 1 -4)
37.61°, I 47.3, (2 1 2)
61.83°, I 32.4, (2 4 2)

Crystal structure
a = 6.849 Å, b = 7.464 Å, c = 10.292 Å
α = 90.00°, β = 103.14°, γ = 90.00°
Fractional positions:
Fe 0.000 0.125 0.000
Fe 0.000 0.875 0.500
Ge 0.122 0.397 0.869
Ge 0.122 0.603 0.369
Ge 0.309 0.373 0.175
Ge 0.309 0.627 0.675
Ge 0.335 0.015 0.814
Ge 0.335 0.985 0.314
Ge 0.500 0.362 0.478
Ge 0.500 0.638 0.978
Ge 0.547 0.017 0.112
Ge 0.547 0.983 0.612
Ge 0.661 0.352 0.784
Ge 0.661 0.648 0.284
Ge 0.848 0.382 0.111
Ge 0.848 0.618 0.611
N 0.085 0.428 0.238
N 0.085 0.572 0.738
N 0.135 0.150 0.855
N 0.135 0.850 0.355
N 0.300 0.124 0.151
N 0.300 0.876 0.651
N 0.306 0.485 0.015
N 0.306 0.515 0.515
N 0.449 0.122 0.462
N 0.449 0.878 0.962
N 0.522 0.444 0.311
N 0.522 0.556 0.811
N 0.537 0.136 0.755
N 0.537 0.864 0.255
N 0.720 0.400 0.618
N 0.720 0.600 0.118
N 0.773 0.144 0.099
N 0.773 0.856 0.599
N 0.885 0.361 0.930
N 0.885 0.639 0.430



The following is a calculated powder diffraction line list of AlH12O5F5. It was derived from a PBE-relaxed structure, using Cu Kα (weighted mean of Kα1 and Kα2).

Main lines, low angle first (10 to 90 degrees two-theta):
10.54°, I 100.0, (0 1 -1)
11.80°, I 82.0, (0 0 2)
18.25°, I 14.5, (0 1 -3)
20.60°, I 27.4, (0 2 0)
21.16°, I 15.6, (0 2 -2)
22.59°, I 13.2, (0 1 3)
24.33°, I 13.9, (1 0 0)
26.07°, I 12.6, (1 -1 0)
26.85°, I 13.7, (1 1 0)
29.07°, I 23.3, (0 1 -5)
31.98°, I 21.3, (0 3 -3)
33.92°, I 18.4, (0 1 5)

Crystal structure
a = 3.662 Å, b = 8.890 Å, c = 15.453 Å
α = 103.82°, β = 90.90°, γ = 92.07°
Fractional positions:
Al 0.000 0.000 0.000
Al 0.223 0.497 0.494
H 0.077 0.536 0.347
H 0.130 0.035 0.848
H 0.145 0.711 0.410
H 0.189 0.741 0.083
H 0.278 0.960 0.377
H 0.315 0.583 0.100
H 0.348 0.628 0.713
H 0.353 0.586 0.959
H 0.362 0.818 0.777
H 0.367 0.749 0.241
H 0.420 0.649 0.822
H 0.471 0.268 0.086
H 0.566 0.730 0.241
H 0.579 0.224 0.740
H 0.762 0.138 0.317
H 0.766 0.768 0.614
H 0.775 0.253 0.745
H 0.806 0.317 0.272
H 0.807 0.059 0.598
H 0.826 0.166 0.897
H 0.832 0.066 0.461
H 0.835 0.110 0.212
H 0.899 0.481 0.875
H 0.914 0.225 0.586
O 0.023 0.104 0.910
O 0.040 0.900 0.371
O 0.129 0.425 0.861
O 0.199 0.630 0.056
O 0.219 0.603 0.403
O 0.417 0.545 0.893
O 0.457 0.696 0.769
O 0.714 0.178 0.263
O 0.770 0.020 0.395
O 0.954 0.115 0.563
F 0.013 0.007 0.113
F 0.207 0.304 0.449
F 0.217 0.558 0.610
F 0.273 0.335 0.091
F 0.274 0.952 0.778
F 0.510 0.047 0.010
F 0.630 0.834 0.587
F 0.721 0.517 0.499
F 0.875 0.442 0.275
F 0.979 0.812 0.943



The following is a calculated powder diffraction line list of K2LiS2O4F2. It was derived from a PBE-relaxed structure, using Cu Kα (weighted mean of Kα1 and Kα2).

Main lines, low angle first (10 to 90 degrees two-theta):
18.58°, I 20.7, (1 0 -1)
23.07°, I 80.4, (0 0 2)
24.53°, I 100.0, (1 1 0)
24.74°, I 22.3, (1 0 1)
28.16°, I 23.8, (0 1 2)
29.62°, I 49.4, (1 1 -2)
32.16°, I 20.5, (0 2 0)
35.71°, I 24.3, (2 0 -1)
37.39°, I 18.4, (1 2 -1)
37.62°, I 17.2, (2 0 0)
37.79°, I 22.2, (1 1 2)
41.03°, I 30.4, (1 2 -2)

Crystal structure
a = 5.029 Å, b = 5.567 Å, c = 8.101 Å
α = 90.00°, β = 107.86°, γ = 90.00°
Fractional positions:
K 0.000 0.000 0.000
K 0.413 0.500 0.594
Li 0.804 0.500 0.334
S 0.456 0.500 0.020
S 0.884 0.000 0.414
O 0.510 0.273 0.930
O 0.510 0.727 0.930
O 0.814 0.221 0.496
O 0.814 0.779 0.496
F 0.111 0.500 0.272
F 0.243 0.000 0.506



The following is a calculated powder diffraction line list of Zr6FeTe2. It was derived from a PBE-relaxed structure, using Cu Kα (weighted mean of Kα1 and Kα2).

Main lines, low angle first (10 to 90 degrees two-theta):
33.77°, I 100.0, (1 1 1)
34.93°, I 66.8, (2 1 0)
36.34°, I 80.5, (2 0 1)
39.79°, I 43.1, (3 0 0)
43.25°, I 40.2, (2 1 1)
50.66°, I 20.5, (0 0 2)
54.97°, I 13.3, (3 1 1)
62.64°, I 12.1, (4 1 0)
63.01°, I 23.2, (2 1 2)
65.19°, I 29.8, (3 2 1)
66.28°, I 18.3, (3 0 2)
68.40°, I 18.3, (4 1 1)

Crystal structure
a = 7.848 Å, b = 7.848 Å, c = 3.604 Å
α = 90.00°, β = 90.00°, γ = 120.00°
Fractional positions:
Zr 0.000 0.240 0.000
Zr 0.000 0.598 0.500
Zr 0.240 0.000 0.000
Zr 0.402 0.402 0.500
Zr 0.598 0.000 0.500
Zr 0.760 0.760 0.000
Fe 0.000 0.000 0.500
Te 0.333 0.667 0.000
Te 0.667 0.333 0.000



The following is a calculated powder diffraction line list of BaY2F8. It was derived from a PBE-relaxed structure, using Cu Kα (weighted mean of Kα1 and Kα2).

Main lines, low angle first (10 to 90 degrees two-theta):
13.90°, I 13.7, (0 0 1)
16.25°, I 31.2, (1 0 0)
21.45°, I 30.3, (1 0 1)
27.02°, I 100.0, (1 1 1)
32.56°, I 10.3, (1 0 2)
39.56°, I 12.8, (2 1 1)
43.69°, I 51.4, (2 0 2)
47.12°, I 22.9, (2 2 0)
48.97°, I 18.9, (1 1 3)
55.16°, I 26.4, (3 1 1)
70.31°, I 12.6, (3 1 3)
85.18°, I 12.7, (4 2 2)

Crystal structure
a = 5.455 Å, b = 5.455 Å, c = 6.370 Å
α = 90.00°, β = 90.00°, γ = 90.00°
Fractional positions:
Ba 0.000 0.000 0.000
Y 0.000 0.500 0.500
Y 0.500 0.000 0.500
F 0.246 0.246 0.299
F 0.246 0.246 0.701
F 0.246 0.754 0.299
F 0.246 0.754 0.701
F 0.754 0.246 0.299
F 0.754 0.246 0.701
F 0.754 0.754 0.299
F 0.754 0.754 0.701



The following is a calculated powder diffraction line list of RuO2. It was derived from a PBE-relaxed structure, using Cu Kα (weighted mean of Kα1 and Kα2).

Main lines, low angle first (10 to 90 degrees two-theta):
27.77°, I 100.0, (1 1 0)
34.73°, I 80.1, (1 0 1)
39.68°, I 20.2, (2 0 0)
53.74°, I 65.2, (2 1 1)
57.36°, I 15.5, (2 2 0)
58.82°, I 8.6, (0 0 2)
64.90°, I 13.6, (3 1 0)
66.26°, I 15.7, (1 1 2)
68.83°, I 19.4, (3 0 1)
73.30°, I 7.4, (2 0 2)
82.48°, I 11.6, (3 2 1)
86.73°, I 9.1, (2 2 2)

Crystal structure
a = 4.543 Å, b = 4.543 Å, c = 3.140 Å
α = 90.00°, β = 90.00°, γ = 90.00°
Fractional positions:
Ru 0.000 0.000 0.000
Ru 0.500 0.500 0.500
O 0.194 0.194 0.500
O 0.306 0.694 0.000
O 0.694 0.306 0.000
O 0.806 0.806 0.500